(1)
Diffraction record for Ac5LaTbPr2. The PXRD pattern is simulated, not measured: it uses DFT lattice parameters and positions (GGA-PBE) and Cu Ka.
No peak broadening, texture or thermal motion is included.

The 10 most intense peaks (10 to 90 degrees two-theta), sorted by position:
| d_spacing | 2theta | I_rel | hkl |
| --- | --- | --- | --- |
| 3.336 | 26.73 | 26.1 | 2 1 3 |
| 3.304 | 26.99 | 100.0 | 2 0 4 |
| 2.994 | 29.84 | 36.1 | 2 2 0 |
| 2.820 | 31.73 | 9.5 | 2 1 5 |
| 2.641 | 33.94 | 20.1 | 0 0 8 |
| 2.596 | 34.55 | 8.3 | 3 1 2 |
| 1.981 | 45.81 | 19.8 | 2 2 8 |
| 1.783 | 51.25 | 23.3 | 4 2 4 |
| 1.626 | 56.61 | 9.9 | 2 0 12 |
| 1.496 | 62.02 | 7.3 | 4 4 0 |

Crystal structure
```
data_Ac5LaTbPr2
_chemical_formula_sum 'Ac20 La4 Tb4 Pr8'
_symmetry_space_group_name_H-M 'I 4/m c m'
_symmetry_Int_Tables_number 140
_symmetry_space_group_name_Hall '-I 4 2c'
_cell_length_a 8.4686
_cell_length_b 8.4686
_cell_length_c 21.1284
_cell_angle_alpha 90.00
_cell_angle_beta 90.00
_cell_angle_gamma 90.00
loop_
_atom_site_label
_atom_site_fract_x
_atom_site_fract_y
_atom_site_fract_z
Ac1 0.0000 0.0000 0.0000
Ac2 0.2189 0.2811 0.1345
La1 0.0000 0.0000 0.2500
Tb1 0.0000 0.5000 0.2500
Pr1 0.1225 0.3775 0.5000
```

=====

(2)
Diffraction record for AcLa4Tb2Pr. The PXRD pattern is simulated, not measured: it uses DFT lattice parameters and positions (GGA-PBE) and Cu Ka.
No peak broadening, texture or thermal motion is included.

The 10 most intense peaks (10 to 90 degrees two-theta), sorted by position:
| d_spacing | 2theta | I_rel | hkl |
| --- | --- | --- | --- |
| 3.042 | 29.36 | 100.0 | 1 1 2 |
| 2.646 | 33.88 | 17.1 | 2 0 -4 |
| 2.633 | 34.05 | 17.0 | 0 2 0 |
| 2.624 | 34.16 | 16.8 | 4 0 0 |
| 1.866 | 48.80 | 18.5 | 6 0 -4 |
| 1.860 | 48.98 | 18.3 | 4 2 0 |
| 1.588 | 58.08 | 14.7 | 1 3 2 |
| 1.584 | 58.24 | 14.5 | 7 1 -2 |
| 1.521 | 60.91 | 12.7 | 6 2 -4 |
| 1.211 | 79.11 | 8.9 | 9 1 -6 |

Crystal structure
```
data_AcLa4Tb2Pr
_chemical_formula_sum 'Ac2 La8 Tb4 Pr2'
_symmetry_space_group_name_H-M 'C 1 2/m 1'
_symmetry_Int_Tables_number 12
_cell_length_a 11.7660
_cell_length_b 5.2666
_cell_length_c 10.5841
_cell_angle_alpha 90.00
_cell_angle_beta 116.85
_cell_angle_gamma 90.00
loop_
_symmetry_equiv_pos_as_xyz
'x,y,z'
'-x,-y,-z'
'-x,y,-z'
'x,-y,z'
'x+1/2,y+1/2,z'
'-x+1/2,-y+1/2,-z'
'-x+1/2,y+1/2,-z'
'x+1/2,-y+1/2,z'
loop_
_atom_site_label
_atom_site_fract_x
_atom_site_fract_y
_atom_site_fract_z
Ac1 0.0000 0.0000 0.0000
La1 0.2475 0.0000 0.8714
La2 0.2491 0.5000 0.6233
Tb1 0.9996 0.5000 0.2540
Pr1 0.0000 0.0000 0.5000
```

=====

(3)
Diffraction record for AcLaTb5Pr2. The PXRD pattern is simulated, not measured: it uses DFT lattice parameters and positions (GGA-PBE) and Cu Ka.
No peak broadening, texture or thermal motion is included.

The 10 most intense peaks (10 to 90 degrees two-theta), sorted by position:
| d_spacing | 2theta | I_rel | hkl |
| --- | --- | --- | --- |
| 3.186 | 28.00 | 43.9 | 2 1 3 |
| 3.140 | 28.42 | 48.0 | 2 2 0 |
| 2.973 | 30.06 | 100.0 | 2 0 4 |
| 2.809 | 31.86 | 19.3 | 3 1 0 |
| 2.493 | 36.03 | 14.2 | 2 1 5 |
| 2.435 | 36.92 | 14.3 | 3 2 1 |
| 2.137 | 42.29 | 20.3 | 4 0 2 |
| 2.000 | 45.35 | 23.6 | 0 0 8 |
| 1.779 | 51.36 | 20.8 | 4 2 4 |
| 1.687 | 54.38 | 18.7 | 2 2 8 |

Crystal structure
```
data_AcLaTb5Pr2
_chemical_formula_sum 'Ac4 La4 Tb20 Pr8'
_symmetry_space_group_name_H-M 'I 4/m c m'
_symmetry_Int_Tables_number 140
_symmetry_space_group_name_Hall '-I 4 2c'
_cell_length_a 8.8825
_cell_length_b 8.8825
_cell_length_c 16.0086
_cell_angle_alpha 90.00
_cell_angle_beta 90.00
_cell_angle_gamma 90.00
loop_
_atom_site_label
_atom_site_fract_x
_atom_site_fract_y
_atom_site_fract_z
Ac1 0.0000 0.0000 0.2500
La1 0.0000 0.5000 0.2500
Tb1 0.0000 0.0000 0.0000
Tb2 0.2050 0.2950 0.1328
Pr1 0.1188 0.3812 0.5000
```

=====

(4)
Diffraction record for AcLa3Pr4Te8. The PXRD pattern is simulated, not measured: it uses DFT lattice parameters and positions (GGA-PBE) and Cu Ka.
No peak broadening, texture or thermal motion is included.

The 10 most intense peaks (10 to 90 degrees two-theta), sorted by position:
| d_spacing | 2theta | I_rel | hkl |
| --- | --- | --- | --- |
| 3.238 | 27.55 | 100.0 | 0 2 4 |
| 2.296 | 39.25 | 38.8 | 2 2 0 |
| 2.283 | 39.47 | 38.1 | 2 0 8 |
| 1.873 | 48.62 | 21.0 | 4 0 4 |
| 1.859 | 49.00 | 6.8 | 0 0 12 |
| 1.619 | 56.88 | 13.1 | 0 4 8 |
| 1.451 | 64.18 | 18.1 | 2 4 4 |
| 1.445 | 64.50 | 17.8 | 2 2 12 |
| 1.325 | 71.14 | 6.7 | 6 0 0 |
| 1.323 | 71.29 | 13.2 | 4 2 8 |

Crystal structure
```
data_AcLa3Pr4Te8
_chemical_formula_sum 'Ac3 La9 Pr12 Te24'
_symmetry_space_group_name_H-M 'R -3 m'
_symmetry_Int_Tables_number 166
_symmetry_space_group_name_Hall '-R 3 2"'
_cell_length_a 9.1822
_cell_length_b 9.1822
_cell_length_c 22.3098
_cell_angle_alpha 90.00
_cell_angle_beta 90.00
_cell_angle_gamma 120.00
loop_
_atom_site_label
_atom_site_fract_x
_atom_site_fract_y
_atom_site_fract_z
Ac1 0.0000 0.0000 0.0000
La1 0.0000 0.5000 0.0000
Pr1 0.0000 0.0000 0.5000
Pr2 0.0000 0.5000 0.5000
Te1 0.0000 0.0000 0.2493
Te2 0.0042 0.5021 0.2482
```

=====

(5)
Diffraction record for AcLa4Pr2Th. The PXRD pattern is simulated, not measured: it uses DFT lattice parameters and positions (GGA-PBE) and Cu Ka.
No peak broadening, texture or thermal motion is included.

The 10 most intense peaks (10 to 90 degrees two-theta), sorted by position:
| d_spacing | 2theta | I_rel | hkl |
| --- | --- | --- | --- |
| 3.049 | 29.29 | 100.0 | 3 1 -2 |
| 2.649 | 33.84 | 33.8 | 4 0 0 |
| 2.624 | 34.17 | 16.9 | 0 2 0 |
| 1.873 | 48.61 | 12.0 | 6 0 -4 |
| 1.864 | 48.85 | 24.2 | 4 2 0 |
| 1.597 | 57.71 | 13.7 | 5 1 -6 |
| 1.595 | 57.82 | 14.6 | 7 1 -2 |
| 1.585 | 58.20 | 14.6 | 3 3 -2 |
| 1.525 | 60.75 | 12.3 | 6 2 -4 |
| 1.210 | 79.14 | 8.4 | 5 3 2 |

Crystal structure
```
data_AcLa4Pr2Th
_chemical_formula_sum 'Ac2 La8 Pr4 Th2'
_symmetry_space_group_name_H-M 'C 1 2/m 1'
_symmetry_Int_Tables_number 12
_cell_length_a 11.8360
_cell_length_b 5.2484
_cell_length_c 10.6093
_cell_angle_alpha 90.00
_cell_angle_beta 116.60
_cell_angle_gamma 90.00
loop_
_symmetry_equiv_pos_as_xyz
'x,y,z'
'-x,-y,-z'
'-x,y,-z'
'x,-y,z'
'x+1/2,y+1/2,z'
'-x+1/2,-y+1/2,-z'
'-x+1/2,y+1/2,-z'
'x+1/2,-y+1/2,z'
loop_
_atom_site_label
_atom_site_fract_x
_atom_site_fract_y
_atom_site_fract_z
Ac1 0.0000 0.0000 0.0000
La1 0.2437 0.0000 0.8640
La2 0.2449 0.5000 0.6151
Pr1 0.0027 0.5000 0.7369
Th1 0.0000 0.0000 0.5000
```

=====

(6)
Diffraction record for AcLa2Pr5Tm. The PXRD pattern is simulated, not measured: it uses DFT lattice parameters and positions (GGA-PBE) and Cu Ka.
No peak broadening, texture or thermal motion is included.

The 10 most intense peaks (10 to 90 degrees two-theta), sorted by position:
| d_spacing | 2theta | I_rel | hkl |
| --- | --- | --- | --- |
| 3.240 | 27.53 | 36.1 | 2 1 3 |
| 3.209 | 27.80 | 52.7 | 2 2 0 |
| 3.015 | 29.63 | 100.0 | 2 0 4 |
| 2.871 | 31.16 | 13.4 | 3 1 0 |
| 2.526 | 35.54 | 9.1 | 2 1 5 |
| 2.488 | 36.11 | 13.2 | 3 2 1 |
| 2.183 | 41.35 | 20.3 | 4 0 2 |
| 2.017 | 44.95 | 12.0 | 0 0 8 |
| 1.813 | 50.32 | 26.4 | 4 2 4 |
| 1.708 | 53.68 | 14.3 | 2 2 8 |

Crystal structure
```
data_AcLa2Pr5Tm
_chemical_formula_sum 'Ac4 La8 Pr20 Tm4'
_symmetry_space_group_name_H-M 'I 4/m c m'
_symmetry_Int_Tables_number 140
_symmetry_space_group_name_Hall '-I 4 2c'
_cell_length_a 9.0778
_cell_length_b 9.0778
_cell_length_c 16.1332
_cell_angle_alpha 90.00
_cell_angle_beta 90.00
_cell_angle_gamma 90.00
loop_
_atom_site_label
_atom_site_fract_x
_atom_site_fract_y
_atom_site_fract_z
Ac1 0.0000 0.0000 0.2500
La1 0.1175 0.3825 0.0000
Pr1 0.0000 0.0000 0.0000
Pr2 0.2119 0.2881 0.3626
Tm1 0.0000 0.5000 0.2500
```

=====

(7)
Diffraction record for AcLa2Pr6Y. The PXRD pattern is simulated, not measured: it uses DFT lattice parameters and positions (GGA-PBE) and Cu Ka.
No peak broadening, texture or thermal motion is included.

The 10 most intense peaks (10 to 90 degrees two-theta), sorted by position:
| d_spacing | 2theta | I_rel | hkl |
| --- | --- | --- | --- |
| 3.313 | 26.91 | 29.0 | 2 2 -2 |
| 3.280 | 27.19 | 61.5 | 1 3 2 |
| 3.071 | 29.07 | 53.9 | 0 2 3 |
| 3.028 | 29.50 | 72.1 | 3 1 -1 |
| 2.990 | 29.88 | 69.5 | 1 5 0 |
| 2.980 | 29.99 | 100.0 | 2 2 2 |
| 2.953 | 30.27 | 46.3 | 2 4 -1 |
| 2.897 | 30.86 | 29.0 | 1 5 -1 |
| 2.779 | 32.21 | 59.0 | 1 3 -3 |
| 1.609 | 57.27 | 24.5 | 4 0 4 |

Crystal structure
```
data_AcLa2Pr6Y
_chemical_formula_sum 'Ac4 La8 Pr24 Y4'
_symmetry_space_group_name_H-M 'C 1 2/c 1'
_symmetry_Int_Tables_number 15
_cell_length_a 9.4165
_cell_length_b 15.7818
_cell_length_c 10.0827
_cell_angle_alpha 90.00
_cell_angle_beta 97.21
_cell_angle_gamma 90.00
loop_
_symmetry_equiv_pos_as_xyz
'x,y,z'
'-x,-y,-z'
'-x,y,-z+1/2'
'x,-y,z+1/2'
'x+1/2,y+1/2,z'
'-x+1/2,-y+1/2,-z'
'-x+1/2,y+1/2,-z+1/2'
'x+1/2,-y+1/2,z+1/2'
loop_
_atom_site_label
_atom_site_fract_x
_atom_site_fract_y
_atom_site_fract_z
Ac1 0.0000 0.0190 0.2500
La1 0.2460 0.4453 0.4566
Pr1 0.0652 0.1905 0.9465
Pr2 0.1027 0.3958 0.1183
Pr3 0.2078 0.2247 0.3118
Y1 0.0000 0.4079 0.7500
```

=====

(8)
Diffraction record for AcLa6PrY2. The PXRD pattern is simulated, not measured: it uses DFT lattice parameters and positions (GGA-PBE) and Cu Ka.
No peak broadening, texture or thermal motion is included.

The 10 most intense peaks (10 to 90 degrees two-theta), sorted by position:
| d_spacing | 2theta | I_rel | hkl |
| --- | --- | --- | --- |
| 3.318 | 26.87 | 34.2 | 2 2 -2 |
| 3.265 | 27.31 | 83.0 | 1 3 2 |
| 3.078 | 29.01 | 78.6 | 3 1 -1 |
| 3.046 | 29.32 | 79.6 | 0 2 3 |
| 2.998 | 29.80 | 100.0 | 2 2 2 |
| 2.960 | 30.19 | 69.4 | 1 5 0 |
| 2.948 | 30.32 | 70.2 | 2 4 -1 |
| 2.866 | 31.21 | 43.1 | 1 5 -1 |
| 2.755 | 32.50 | 47.4 | 1 3 -3 |
| 2.707 | 33.09 | 42.8 | 2 2 -3 |

Crystal structure
```
data_AcLa6PrY2
_chemical_formula_sum 'Ac4 La24 Pr4 Y8'
_symmetry_space_group_name_H-M 'C 1 2/c 1'
_symmetry_Int_Tables_number 15
_cell_length_a 9.6067
_cell_length_b 15.5676
_cell_length_c 10.0043
_cell_angle_alpha 90.00
_cell_angle_beta 96.93
_cell_angle_gamma 90.00
loop_
_symmetry_equiv_pos_as_xyz
'x,y,z'
'-x,-y,-z'
'-x,y,-z+1/2'
'x,-y,z+1/2'
'x+1/2,y+1/2,z'
'-x+1/2,-y+1/2,-z'
'-x+1/2,y+1/2,-z+1/2'
'x+1/2,-y+1/2,z+1/2'
loop_
_atom_site_label
_atom_site_fract_x
_atom_site_fract_y
_atom_site_fract_z
Ac1 0.0000 0.0329 0.2500
La1 0.0710 0.1759 0.9445
La2 0.0934 0.3896 0.1217
La3 0.2203 0.2282 0.3176
Pr1 0.0000 0.4071 0.7500
Y1 0.2504 0.0481 0.5490
```

=====

(9)
Diffraction record for Ac2LaPrY2. The PXRD pattern is simulated, not measured: it uses DFT lattice parameters and positions (GGA-PBE) and Cu Ka.
No peak broadening, texture or thermal motion is included.

The 10 most intense peaks (10 to 90 degrees two-theta), sorted by position:
| d_spacing | 2theta | I_rel | hkl |
| --- | --- | --- | --- |
| 3.081 | 28.98 | 100.0 | 1 3 0 |
| 3.069 | 29.10 | 100.0 | 1 0 2 |
| 2.675 | 33.50 | 34.6 | 2 0 0 |
| 2.657 | 33.73 | 67.1 | 0 3 2 |
| 1.885 | 48.28 | 61.3 | 2 3 2 |
| 1.611 | 57.18 | 30.0 | 3 0 2 |
| 1.606 | 57.38 | 28.6 | 1 6 2 |
| 1.601 | 57.58 | 29.7 | 1 3 4 |
| 1.224 | 78.09 | 17.2 | 3 6 2 |
| 1.190 | 80.74 | 15.8 | 2 6 4 |

Crystal structure
```
data_Ac2LaPrY2
_chemical_formula_sum 'Ac4 La2 Pr2 Y4'
_symmetry_space_group_name_H-M 'P m c 21'
_symmetry_Int_Tables_number 26
_cell_length_a 5.3497
_cell_length_b 11.3062
_cell_length_c 7.4934
_cell_angle_alpha 90.00
_cell_angle_beta 90.00
_cell_angle_gamma 90.00
loop_
_symmetry_equiv_pos_as_xyz
'x,y,z'
'-x,-y,z+1/2'
'-x,y,z'
'x,-y,z+1/2'
loop_
_atom_site_label
_atom_site_fract_x
_atom_site_fract_y
_atom_site_fract_z
Ac1 0.0000 0.0015 0.0000
Ac2 0.5000 0.1741 0.2539
La1 0.0000 0.3393 0.5053
Pr1 0.5000 0.4957 0.7579
Y1 0.0000 0.3367 0.0029
Y2 0.5000 0.1753 0.7520
```

=====

(10)
Diffraction record for Ac2La2Pr4Y. The PXRD pattern is simulated, not measured: it uses DFT lattice parameters and positions (GGA-PBE) and Cu Ka.
No peak broadening, texture or thermal motion is included.

The 10 most intense peaks (10 to 90 degrees two-theta), sorted by position:
| d_spacing | 2theta | I_rel | hkl |
| --- | --- | --- | --- |
| 3.271 | 27.26 | 22.5 | 3 1 -1 |
| 3.202 | 27.86 | 28.6 | 3 1 0 |
| 3.049 | 29.29 | 71.6 | 0 0 3 |
| 2.971 | 30.08 | 100.0 | 3 1 -2 |
| 2.948 | 30.32 | 42.8 | 6 0 0 |
| 2.823 | 31.70 | 81.0 | 3 1 1 |
| 2.812 | 31.82 | 34.3 | 6 0 -3 |
| 1.892 | 48.08 | 36.6 | 9 1 -2 |
| 1.778 | 51.38 | 23.7 | 3 1 -5 |
| 1.683 | 54.51 | 23.2 | 3 1 4 |

Crystal structure
```
data_Ac2La2Pr4Y
_chemical_formula_sum 'Ac4 La4 Pr8 Y2'
_symmetry_space_group_name_H-M 'C 1 2/m 1'
_symmetry_Int_Tables_number 12
_cell_length_a 19.6172
_cell_length_b 3.8131
_cell_length_c 10.1437
_cell_angle_alpha 90.00
_cell_angle_beta 115.61
_cell_angle_gamma 90.00
loop_
_symmetry_equiv_pos_as_xyz
'x,y,z'
'-x,-y,-z'
'-x,y,-z'
'x,-y,z'
'x+1/2,y+1/2,z'
'-x+1/2,-y+1/2,-z'
'-x+1/2,y+1/2,-z'
'x+1/2,-y+1/2,z'
loop_
_atom_site_label
_atom_site_fract_x
_atom_site_fract_y
_atom_site_fract_z
Ac1 0.1449 0.0000 0.1653
La1 0.1646 0.5000 0.5020
Pr1 0.0183 0.5000 0.8194
Pr2 0.1849 0.0000 0.8322
Y1 0.0000 0.0000 0.5000
```

=====

(11)
Diffraction record for Ac2LaPt2. The PXRD pattern is simulated, not measured: it uses DFT lattice parameters and positions (GGA-PBE) and Cu Ka.
No peak broadening, texture or thermal motion is included.

The 10 most intense peaks (10 to 90 degrees two-theta), sorted by position:
| d_spacing | 2theta | I_rel | hkl |
| --- | --- | --- | --- |
| 3.457 | 25.77 | 47.1 | 1 3 0 |
| 3.394 | 26.26 | 100.0 | 0 0 2 |
| 3.029 | 29.49 | 40.8 | 1 1 2 |
| 2.709 | 33.07 | 26.3 | 3 1 0 |
| 2.634 | 34.04 | 39.1 | 2 0 2 |
| 2.504 | 35.86 | 34.1 | 1 4 1 |
| 2.351 | 38.29 | 83.3 | 3 2 1 |
| 2.180 | 41.42 | 47.1 | 0 4 2 |
| 1.873 | 48.60 | 26.3 | 3 3 2 |
| 1.562 | 59.13 | 24.1 | 5 2 1 |

Crystal structure
```
data_Ac2LaPt2
_chemical_formula_sum 'Ac8 La4 Pt8'
_symmetry_space_group_name_H-M 'I b a m'
_symmetry_Int_Tables_number 72
_symmetry_space_group_name_Hall '-I 2 2c'
_cell_length_a 8.3676
_cell_length_b 11.3870
_cell_length_c 6.7798
_cell_angle_alpha 90.00
_cell_angle_beta 90.00
_cell_angle_gamma 90.00
loop_
_atom_site_label
_atom_site_fract_x
_atom_site_fract_y
_atom_site_fract_z
Ac1 0.1349 0.1525 0.0000
La1 0.0000 0.5000 0.2500
Pt1 0.2322 0.1043 0.5000
```

=====

(12)
Diffraction record for Ac2La2Pt3. The PXRD pattern is simulated, not measured: it uses DFT lattice parameters and positions (GGA-PBE) and Cu Ka.
No peak broadening, texture or thermal motion is included.

The 10 most intense peaks (10 to 90 degrees two-theta), sorted by position:
| d_spacing | 2theta | I_rel | hkl |
| --- | --- | --- | --- |
| 5.570 | 15.91 | 14.1 | 0 1 1 |
| 4.149 | 21.42 | 13.1 | 1 1 0 |
| 3.084 | 28.95 | 51.3 | 0 1 -2 |
| 3.046 | 29.33 | 100.0 | 1 2 1 |
| 2.182 | 41.37 | 38.8 | 1 1 3 |
| 2.173 | 41.55 | 20.1 | 2 1 0 |
| 2.152 | 41.99 | 37.6 | 1 3 -1 |
| 2.134 | 42.35 | 17.7 | 0 3 2 |
| 1.776 | 51.44 | 21.3 | 2 0 2 |
| 1.372 | 68.35 | 17.7 | 3 3 1 |

Crystal structure
```
data_Ac2La2Pt3
_chemical_formula_sum 'Ac2 La2 Pt3'
_symmetry_space_group_name_H-M 'P -1'
_symmetry_Int_Tables_number 2
_cell_length_a 4.3464
_cell_length_b 7.3796
_cell_length_c 7.5713
_cell_angle_alpha 80.89
_cell_angle_beta 89.96
_cell_angle_gamma 72.90
loop_
_symmetry_equiv_pos_as_xyz
'x,y,z'
'-x,-y,-z'
loop_
_atom_site_label
_atom_site_fract_x
_atom_site_fract_y
_atom_site_fract_z
Ac1 0.1322 0.2365 0.3667
La1 0.3715 0.7571 0.1025
Pt1 0.0000 0.5000 0.0000
Pt2 0.2425 0.0148 0.7501
```